The following is a calculated powder diffractogram of Ho3Er4Th5. It was derived from a cell relaxed with GGA-PBE, using Cu Ka.

Most intense lines, 5 to 70 degrees two-theta, sorted by position:
(1 1 3), 29.6 deg, intensity 88
(3 1 -2), 29.8 deg, intensity 100
(0 2 0), 32.7 deg, intensity 68
(2 0 -5), 34.3 deg, intensity 44
(4 0 1), 36.3 deg, intensity 36
(2 2 -5), 48.1 deg, intensity 36

Structure:
```
data_Ho3Er4Th5
_space_group_name_H-M_alt 'C 1 2/m 1'
_space_group_IT_number 12
_space_group_name_Hall '-C 2y'
_cell_length_a 11.156
_cell_length_b 5.482
_cell_length_c 13.319
_cell_angle_alpha 90.00
_cell_angle_beta 106.70
_cell_angle_gamma 90.00
loop_
_atom_site_label
_atom_site_type_symbol
_atom_site_fract_x
_atom_site_fract_y
_atom_site_fract_z
Ho1 Ho 0.000 0.000 0.000
Ho2 Ho 0.218 0.000 0.892
Er1 Er 0.044 0.500 0.776
Er2 Er 0.164 0.000 0.265
Th1 Th 0.000 0.500 0.000
Th2 Th 0.096 0.000 0.627
Th3 Th 0.142 0.500 0.469
```

=====

The following is a calculated powder diffractogram of Ho2Er6Th3. It was derived from a cell relaxed with GGA-PBE, using Cu Ka.

Most intense lines, 5 to 70 degrees two-theta, sorted by position:
(2 0 1), 30.2 deg, intensity 50
(0 0 4), 32.1 deg, intensity 33
(1 3 -2), 33.3 deg, intensity 100
(2 0 -3), 38.0 deg, intensity 27
(3 3 0), 51.6 deg, intensity 26
(3 3 4), 62.1 deg, intensity 30

Structure:
```
data_Ho2Er6Th3
_space_group_name_H-M_alt 'C 1 2/m 1'
_space_group_IT_number 12
_space_group_name_Hall '-C 2y'
_cell_length_a 6.133
_cell_length_b 10.631
_cell_length_c 11.145
_cell_angle_alpha 90.00
_cell_angle_beta 90.10
_cell_angle_gamma 90.00
loop_
_atom_site_label
_atom_site_type_symbol
_atom_site_fract_x
_atom_site_fract_y
_atom_site_fract_z
Ho1 Ho 0.000 0.166 0.000
Er1 Er 0.165 0.335 0.251
Er2 Er 0.168 0.000 0.252
Th1 Th 0.000 0.167 0.500
Th2 Th 0.000 0.500 0.500
```

=====

What did the first record say?
The following is a calculated powder diffractogram of Ho3Er4Th5. It was derived from a cell relaxed with GGA-PBE, using Cu Ka.

Most intense lines, 5 to 70 degrees two-theta, sorted by position:
(1 1 3), 29.6 deg, intensity 88
(3 1 -2), 29.8 deg, intensity 100
(0 2 0), 32.7 deg, intensity 68
(2 0 -5), 34.3 deg, intensity 44
(4 0 1), 36.3 deg, intensity 36
(2 2 -5), 48.1 deg, intensity 36

Structure:
```
data_Ho3Er4Th5
_space_group_name_H-M_alt 'C 1 2/m 1'
_space_group_IT_number 12
_space_group_name_Hall '-C 2y'
_cell_length_a 11.156
_cell_length_b 5.482
_cell_length_c 13.319
_cell_angle_alpha 90.00
_cell_angle_beta 106.70
_cell_angle_gamma 90.00
loop_
_atom_site_label
_atom_site_type_symbol
_atom_site_fract_x
_atom_site_fract_y
_atom_site_fract_z
Ho1 Ho 0.000 0.000 0.000
Ho2 Ho 0.218 0.000 0.892
Er1 Er 0.044 0.500 0.776
Er2 Er 0.164 0.000 0.265
Th1 Th 0.000 0.500 0.000
Th2 Th 0.096 0.000 0.627
Th3 Th 0.142 0.500 0.469
```